This entry pairs a crystal structure of MoS3O9 with its computed powder XRD pattern. Radiation: a wavelength of 1.5418 Å. Structure: a cell relaxed with GGA+U.
Intensities are scaled so that the largest is 100.

Structural model:
```
data_MoS3O9
_cell_length_a 13.8861
_cell_length_b 8.0716
_cell_length_c 9.3606
_cell_angle_alpha 90.00
_cell_angle_beta 128.41
_cell_angle_gamma 90.00
_space_group_name_H-M_alt 'C 1 c 1'
_space_group_IT_number 9
loop_
_space_group_symop_operation_xyz
'x,y,z'
'x,-y,z+1/2'
'x+1/2,y+1/2,z'
'x+1/2,-y+1/2,z+1/2'
loop_
_atom_site_label
_atom_site_fract_x
_atom_site_fract_y
_atom_site_fract_z
Mo1 0.0000 0.2471 0.0000
S1 0.0956 0.0488 0.7998
S2 0.2486 0.4906 0.2439
S3 0.3619 0.0187 0.6325
O1 0.0693 0.0509 0.9363
O2 0.0794 0.1382 0.2491
O3 0.1553 0.3638 0.0911
O4 0.1911 0.4187 0.8042
O5 0.2418 0.0743 0.9204
O6 0.3076 0.4213 0.6842
O7 0.3408 0.3632 0.3980
O8 0.4125 0.1393 0.2433
O9 0.4445 0.0549 0.5841
```

Principal peaks in the range 2θ = 10–90°, by angle:
2θ/deg  intensity  hkl
14.5  100  1 1 -1
21.4  40  1 1 1
22.4  19  3 1 -1
23.0  24  1 1 -2
23.9  26  3 1 -2
27.0  24  3 1 0
27.5  23  2 2 0
29.2  19  2 2 -2
30.8  10  3 1 -3
33.0  19  0 2 2